Record 1
For MgNb2S4Cl4, a GGA-PBE-relaxed structure gives the simulated powder XRD pattern in this record (Cu Kα (weighted mean of Kα1 and Kα2)).
Kinematic intensities with the Lorentz-polarization factor, no thermal factor.

Atomic structure:
Unit cell a=6.611 b=6.611 c=7.418 alpha=100.68 beta=100.68 gamma=123.21
Positions (direct):
Mg 0.000 0.000 0.000
Nb 0.154 0.401 0.679
Nb 0.401 0.154 0.679
S 0.141 0.141 0.381
S 0.376 0.376 0.976
S 0.631 0.631 0.735
S 0.914 0.914 0.529
Cl 0.255 0.702 0.467
Cl 0.280 0.848 0.898
Cl 0.702 0.255 0.467
Cl 0.848 0.280 0.898

The 8 most intense peaks (2θ = 10–90°), sorted by position:
2θ/deg, d [Å], I_rel
12.96, 6.832, 100
17.10, 5.184, 40
17.50, 5.068, 23
27.69, 3.222, 12
33.21, 2.697, 30
40.75, 2.214, 21
42.56, 2.124, 12
44.16, 2.051, 25

=====

Record 2
For ThAlRh, a GGA-PBE-relaxed structure gives the simulated powder XRD pattern in this record (Cu Kα (weighted mean of Kα1 and Kα2)).
Kinematic intensities with the Lorentz-polarization factor, no thermal factor.

Atomic structure:
Unit cell a=7.215 b=7.215 c=4.163 alpha=90.00 beta=90.00 gamma=120.00
Positions (direct):
Th 0.000 0.417 0.000
Th 0.417 0.000 0.000
Th 0.583 0.583 0.000
Al 0.000 0.767 0.500
Al 0.233 0.233 0.500
Al 0.767 0.000 0.500
Rh 0.000 0.000 0.000
Rh 0.333 0.667 0.500
Rh 0.667 0.333 0.500

The 8 most intense peaks (2θ = 10–90°), sorted by position:
2θ/deg, d [Å], I_rel
21.34, 4.163, 29
24.68, 3.607, 37
28.57, 3.124, 34
32.85, 2.726, 94
35.94, 2.499, 100
43.46, 2.082, 43
52.84, 1.733, 38
57.61, 1.600, 35